Starting from the GGA-PBE geometry in Alexandria, the X-ray diffraction stick pattern of Y8InAg2 was computed for CuKα.
Lines closer than 0.1° are merged.

Crystal structure
```
Y8InAg2
1.0
4.408 -7.145 0.000
4.408 7.145 0.000
-1.753 0.000 5.155
Y In Ag
8 1 2
Direct
0.090 0.325 0.600
0.229 0.771 0.000
0.325 0.090 0.600
0.395 0.395 0.195
0.605 0.605 0.805
0.675 0.910 0.400
0.771 0.229 0.000
0.910 0.675 0.400
0.000 0.000 0.000
0.305 0.695 0.500
0.695 0.305 0.500
```

Top 10 peaks for 10 to 80 degrees two-theta, by angle:
2θ (°)	I_rel
21.28	34
29.77	39
30.44	88
31.63	44
31.87	100
33.01	92
33.51	52
35.86	91
37.44	32
61.39	29